The following is a calculated powder XRD pattern of Sm2Y3Ga2. It was derived from a DFT-relaxed cell (GGA-PBE, Alexandria), using Cu Ka.
No peak broadening, texture or thermal motion is included.

Main lines, by angle (2θ = 10–80°):
2θ (°)  d_spacing  I_rel
29.94  2.984  34
30.88  2.896  76
31.32  2.856  100
31.54  2.837  59
32.76  2.734  63
33.74  2.656  40
34.26  2.617  42
35.25  2.546  34

Atomic structure:
```
Sm2Y3Ga2
1.0
6.497 -1.902 0.000
6.497 1.902 0.000
-3.764 0.000 8.133
Sm Y Ga
2 3 2
Cartesian
0.760 0.000 2.528
8.471 0.000 5.605
4.789 0.000 0.481
4.615 0.000 4.066
4.442 0.000 7.651
-0.404 0.000 5.879
9.634 0.000 2.254
```

***

The following is a calculated powder XRD pattern of La3AlGa2. It was derived from a DFT-relaxed cell (GGA-PBE, Alexandria), using Cu Ka.
No peak broadening, texture or thermal motion is included.

Main lines, by angle (2θ = 10–80°):
2θ (°)  d_spacing  I_rel
29.27  3.051  100
29.80  2.998  42
30.28  2.952  53
33.35  2.686  96
33.71  2.658  38
34.13  2.627  45
34.39  2.608  70
37.25  2.414  65

Atomic structure:
```
La3AlGa2
1.0
8.517 0.000 0.000
0.000 9.973 0.000
-3.046 0.000 7.704
La Al Ga
12 4 8
Cartesian
0.483 1.169 1.989
-1.040 3.818 5.841
-0.301 0.263 7.533
1.222 4.724 3.681
2.835 6.542 0.343
1.313 8.417 4.195
4.159 1.556 3.508
2.636 3.430 7.360
4.249 5.249 4.023
5.772 9.710 0.171
6.511 6.155 1.862
4.988 8.804 5.714
-1.282 1.060 4.570
0.241 3.926 0.719
5.230 6.047 6.985
6.753 8.912 3.133
-1.331 6.781 4.924
0.192 8.178 1.072
1.370 1.556 5.140
2.893 3.430 1.288
2.578 6.543 6.415
4.101 8.416 2.563
5.279 1.794 6.632
6.802 3.192 2.780
```